Diffraction record for Na3Nd2NpTe6. The powder diffractogram is simulated, not measured: it uses a DFT-relaxed cell (PBE, Alexandria) and a wavelength of 1.5418 Å.
Neutral-atom scattering factors, no anomalous dispersion.

Cell and atoms:
a = 7.856 Å, b = 13.613 Å, c = 7.991 Å
α = 90.00°, β = 109.11°, γ = 90.00°
Space group C2/m (No. 12)
Symmetry-distinct sites (fractional):
Na 0.000 0.000 0.000 [2 per cell]
Na 0.000 0.332 0.000 [4 per cell]
Nd 0.000 0.167 0.500 [4 per cell]
Np 0.000 0.500 0.500 [2 per cell]
Te 0.244 0.335 0.739 [8 per cell]
Te 0.250 0.000 0.738 [4 per cell]

Peak list (10 most intense, 2θ from 10° to 90°, sorted by position)
two_theta, Rel. int., (hkl)
11.7, 33, 0 0 1
23.0, 16, 2 0 -1
27.6, 100, 1 3 1
39.2, 39, 2 0 2
39.7, 38, 0 6 0
49.1, 20, 4 0 0
57.1, 13, 2 6 2
64.2, 17, 3 3 3
64.9, 18, 4 6 0
71.8, 13, 5 3 1